Entry 1:
The following is a simulated powder X-ray diffraction pattern of LuCuSn. It was derived from a GGA-PBE-relaxed structure, using CuKα.

Crystal structure
Cell lengths 4.4931, 4.4931, 7.1556 Å; angles 90.00, 90.00, 120.00 degrees
Space group P6_3/mmc (No. 194)
Symmetry-distinct sites (fractional):
Lu 0.0000 0.0000 0.0000
Cu 0.3333 0.6667 0.2500
Sn 0.3333 0.6667 0.7500

Peak list (8 most intense, 10° ≤ 2θ ≤ 90°, low angle first)
2θ/deg	I_rel	index
22.85	11	1 0 0
34.04	100	1 0 2
40.14	59	1 1 0
51.05	10	0 0 4
53.62	28	2 0 2
66.86	26	1 1 4
69.05	26	2 1 2
72.94	10	3 0 0



Entry 2:
The following is a simulated powder X-ray diffraction pattern of LuCuSn. It was derived from a GGA-PBE-relaxed structure, using CuKα.

Crystal structure
Cell lengths 4.4933, 4.4933, 7.1216 Å; angles 90.00, 90.00, 120.00 degrees
Space group P6_3mc (No. 186)
Symmetry-distinct sites (fractional):
Lu 0.0000 0.0000 0.0000
Cu 0.3333 0.6667 0.3284
Sn 0.3333 0.6667 0.7316

Peak list (8 most intense, 10° ≤ 2θ ≤ 90°, low angle first)
2θ/deg	I_rel	index
22.85	13	1 0 0
26.10	13	1 0 1
34.13	100	1 0 2
40.14	67	1 1 0
44.72	13	1 0 3
53.68	28	2 0 2
67.08	15	1 1 4
69.10	26	2 1 2



Entry 3:
The following is a simulated powder X-ray diffraction pattern of LuCuSn. It was derived from a GGA-PBE-relaxed structure, using CuKα.

Crystal structure
Cell lengths 4.5186, 4.5186, 7.5535 Å; angles 90.00, 90.00, 120.00 degrees
Space group P-3m1 (No. 164)
Symmetry-distinct sites (fractional):
Lu 0.0000 0.0000 0.2027
Cu 0.3333 0.6667 0.0211
Sn 0.3333 0.6667 0.4204

Peak list (8 most intense, 10° ≤ 2θ ≤ 90°, low angle first)
2θ/deg	I_rel	index
25.64	32	0 1 1
32.96	100	0 1 2
39.90	80	1 1 0
42.70	43	1 0 3
52.69	27	2 0 2
68.08	25	1 2 2
74.39	17	2 1 3
75.74	20	1 1 5



Entry 4:
The following is a simulated powder X-ray diffraction pattern of Lu3Cu4Sn4. It was derived from a GGA-PBE-relaxed structure, using CuKα.

Crystal structure
Cell lengths 15.962, 4.416, 6.893 Å; angles 90.00, 114.47, 90.00 degrees
Space group C2/m (No. 12)
Symmetry-distinct sites (fractional):
Lu 0.000 0.000 0.000
Lu 0.129 0.000 0.645
Cu 0.157 0.500 0.976
Cu 0.187 0.500 0.384
Sn 0.012 0.500 0.308
Sn 0.217 0.000 0.195

Peak list (8 most intense, 10° ≤ 2θ ≤ 90°, low angle first)
2θ/deg	I_rel	index
33.46	66	1 1 -2
33.67	100	3 1 -2
34.33	68	3 1 1
34.71	66	5 1 -1
37.11	20	6 0 0
40.87	57	0 2 0
45.37	26	3 1 2
53.98	17	6 2 -1



Entry 5:
The following is a simulated powder X-ray diffraction pattern of Lu2CuTc. It was derived from a GGA-PBE-relaxed structure, using CuKα.

Crystal structure
Cell lengths 6.683, 6.683, 6.683 Å; angles 90.00, 90.00, 90.00 degrees
Space group Fm-3m (No. 225)
Symmetry-distinct sites (fractional):
Lu 0.250 0.250 0.250
Cu 0.000 0.000 0.000
Tc 0.000 0.000 0.500

Peak list (8 most intense, 10° ≤ 2θ ≤ 90°, low angle first)
2θ/deg	I_rel	index
26.68	14	2 0 0
38.08	100	2 2 0
47.11	4	2 2 2
54.96	17	4 0 0
62.11	6	4 2 0
68.82	35	4 2 2
81.47	11	4 4 0
87.60	3	6 0 0



Entry 6:
The following is a simulated powder X-ray diffraction pattern of Lu6CuTe2. It was derived from a GGA-PBE-relaxed structure, using CuKα.

Crystal structure
Cell lengths 21.145, 3.944, 11.317 Å; angles 90.00, 90.00, 90.00 degrees
Space group Pnma (No. 62)
Symmetry-distinct sites (fractional):
Lu 0.006 0.250 0.112
Lu 0.024 0.750 0.380
Lu 0.109 0.250 0.809
Lu 0.141 0.750 0.060
Lu 0.155 0.250 0.530
Lu 0.232 0.750 0.737
Cu 0.077 0.750 0.636
Te 0.126 0.250 0.267
Te 0.239 0.250 0.954

Peak list (8 most intense, 10° ≤ 2θ ≤ 90°, low angle first)
2θ/deg	I_rel	index
30.40	70	3 1 2
32.02	100	5 1 1
32.80	88	2 0 4
33.94	72	8 0 0
34.14	41	3 0 4
34.89	83	5 1 2
37.74	31	6 1 2
46.02	50	0 2 0